Computed XRD peak list
Compound: LiHf2O
Radiation: Cu Kα (weighted mean of Kα1 and Kα2)
Structure: the GGA-PBE geometry in Alexandria
Kinematic intensities with the Lorentz-polarization factor, no thermal factor.

Cell and atoms:
```
8
Lattice="-4.0784 4.0784 1.8197 4.0784 -4.0784 1.8197 4.0784 4.0784 -1.8197" Properties=species:S:1:pos:R:3 pbc="T T T"
Li 0.0000 0.0000 0.0000
Li 0.0000 4.0784 0.9098
Hf 2.0392 3.2687 -0.4549
Hf 4.8882 2.0392 0.4549
Hf 2.0392 0.8097 1.3647
Hf -0.8097 2.0392 2.2746
O 4.0784 0.0000 0.9098
O 0.0000 0.0000 1.8197
```

Principal peaks in the range 2θ = 10–80°, by angle:
| 2θ (°) | I/Imax |
| --- | --- |
| 26.82 | 27 |
| 34.80 | 100 |
| 47.31 | 16 |
| 50.01 | 10 |
| 52.69 | 21 |
| 66.91 | 14 |